Record 1
Starting from a crystal structure in the Materials Project, relaxed with GGA+U, the powder XRD pattern of Li2FeF4 was simulated for copper Kα.
Lines closer than 0.1° are merged.

Main lines, low angle first (2θ from 10° to 90°):
| 2theta | intensity | h k l |
| --- | --- | --- |
| 17.97 | 51 | 0 0 2 |
| 20.47 | 100 | 0 2 1 |
| 32.94 | 22 | 0 2 3 |
| 41.07 | 28 | 0 2 4 |
| 42.57 | 41 | 1 1 3 |
| 42.94 | 59 | 1 3 1 |
| 45.94 | 43 | 1 3 2 |
| 57.24 | 23 | 1 1 5 |

Structure:
a = 2.903 Å, b = 9.658 Å, c = 9.872 Å
α = 90.00°, β = 90.00°, γ = 90.00°
Space group Cmcm (No. 63)
One atom of each set of equivalent atoms:
Li1 0.000 0.125 0.064 (multiplicity 8)
Fe1 0.000 0.379 0.250 (multiplicity 4)
F1 0.000 0.036 0.250 (multiplicity 4)
F2 0.000 0.221 0.618 (multiplicity 8)
F3 0.000 0.500 0.000 (multiplicity 4)

---

Record 2
Starting from a crystal structure in the Materials Project, relaxed with GGA+U, the powder XRD pattern of LiVF4 was simulated for copper Kα.
Lines closer than 0.1° are merged.

Main lines, low angle first (2θ from 10° to 90°):
| 2theta | intensity | h k l |
| --- | --- | --- |
| 11.64 | 31 | 1 0 0 |
| 21.14 | 100 | 1 1 0 |
| 24.42 | 34 | 0 0 2 |
| 24.78 | 35 | 1 0 -2 |
| 29.42 | 35 | 2 1 0 |
| 39.40 | 32 | 3 1 -1 |
| 40.68 | 32 | 1 1 -3 |
| 52.72 | 32 | 2 2 2 |

Structure:
a = 7.775 Å, b = 5.045 Å, c = 7.455 Å
α = 90.00°, β = 102.05°, γ = 90.00°
Space group P2_1/c (No. 14)
One atom of each set of equivalent atoms:
Li1 0.125 0.244 0.359 (multiplicity 4)
V1 0.317 0.746 0.691 (multiplicity 4)
F1 0.102 0.564 0.200 (multiplicity 4)
F2 0.186 0.062 0.094 (multiplicity 4)
F3 0.307 0.591 0.940 (multiplicity 4)
F4 0.458 0.056 0.805 (multiplicity 4)

---

Record 3
Starting from a crystal structure in the Materials Project, relaxed with GGA+U, the powder XRD pattern of Zn2Ni3O5 was simulated for copper Kα.
Lines closer than 0.1° are merged.

Main lines, low angle first (2θ from 10° to 90°):
| 2theta | intensity | h k l |
| --- | --- | --- |
| 36.47 | 100 | 1 1 -2 |
| 36.50 | 100 | 3 1 -1 |
| 42.20 | 86 | 2 0 1 |
| 42.43 | 85 | 0 2 0 |
| 42.51 | 85 | 4 0 -3 |
| 61.39 | 75 | 2 2 1 |
| 61.62 | 50 | 4 2 -3 |
| 77.52 | 47 | 6 2 -2 |

Structure:
a = 9.520 Å, b = 4.261 Å, c = 6.732 Å
α = 90.00°, β = 134.71°, γ = 90.00°
Space group C2/m (No. 12)
One atom of each set of equivalent atoms:
Zn1 0.099 0.000 0.300 (multiplicity 4)
Ni1 0.000 0.500 0.500 (multiplicity 2)
Ni2 0.201 0.500 0.100 (multiplicity 4)
O1 0.000 0.000 0.500 (multiplicity 2)
O2 0.094 0.500 0.293 (multiplicity 4)
O3 0.206 0.000 0.106 (multiplicity 4)

---

Record 4
Starting from a crystal structure in the Materials Project, relaxed with GGA+U, the powder XRD pattern of Ba2MgFeMoO6 was simulated for copper Kα.
Lines closer than 0.1° are merged.

Main lines, low angle first (2θ from 10° to 90°):
| 2theta | intensity | h k l |
| --- | --- | --- |
| 29.96 | 88 | 0 1 -1 |
| 30.11 | 100 | 1 1 2 |
| 30.28 | 70 | -1 1 1 |
| 31.24 | 98 | 2 0 1 |
| 32.67 | 64 | 1 2 1 |
| 37.37 | 68 | 1 -2 0 |
| 39.92 | 59 | 2 1 0 |
| 47.49 | 40 | 2 -1 2 |

Structure:
a = 5.820 Å, b = 5.854 Å, c = 5.968 Å
α = 64.16°, β = 62.64°, γ = 81.46°
Space group P1 (No. 1)
One atom of each set of equivalent atoms:
Ba1 0.000 0.000 0.000 (multiplicity 1)
Ba2 0.275 0.634 0.530 (multiplicity 1)
Mg1 0.827 0.385 0.350 (multiplicity 1)
Fe1 0.392 0.245 0.209 (multiplicity 1)
Mo1 0.649 0.828 0.758 (multiplicity 1)
O1 0.023 0.084 0.461 (multiplicity 1)
O2 0.300 0.584 0.049 (multiplicity 1)
O3 0.491 0.153 0.506 (multiplicity 1)
O4 0.524 0.032 0.024 (multiplicity 1)
O5 0.756 0.645 0.490 (multiplicity 1)
O6 0.831 0.547 0.983 (multiplicity 1)

---

Record 5
Starting from a crystal structure in the Materials Project, relaxed with GGA+U, the powder XRD pattern of MgTiCo2O6 was simulated for copper Kα.
Lines closer than 0.1° are merged.

Main lines, low angle first (2θ from 10° to 90°):
| 2theta | intensity | h k l |
| --- | --- | --- |
| 18.31 | 100 | 0 1 -1 |
| 34.72 | 35 | -1 1 1 |
| 35.78 | 16 | 0 1 2 |
| 38.59 | 28 | 1 1 0 |
| 39.19 | 25 | 1 -2 0 |
| 41.71 | 20 | 0 0 3 |
| 50.23 | 12 | 1 2 -1 |
| 51.14 | 11 | 1 -3 1 |

Structure:
a = 3.015 Å, b = 5.803 Å, c = 6.737 Å
α = 104.75°, β = 90.55°, γ = 104.07°
Space group P1 (No. 1)
One atom of each set of equivalent atoms:
Mg1 0.000 0.000 0.000 (multiplicity 1)
Ti1 0.505 0.997 0.500 (multiplicity 1)
Co1 0.193 0.385 0.814 (multiplicity 1)
Co2 0.808 0.615 0.182 (multiplicity 1)
O1 0.115 0.237 0.530 (multiplicity 1)
O2 0.195 0.381 0.109 (multiplicity 1)
O3 0.456 0.914 0.197 (multiplicity 1)
O4 0.543 0.081 0.800 (multiplicity 1)
O5 0.804 0.618 0.886 (multiplicity 1)
O6 0.887 0.758 0.467 (multiplicity 1)

---

Record 6
Starting from a crystal structure in the Materials Project, relaxed with GGA+U, the powder XRD pattern of FeOF was simulated for copper Kα.
Lines closer than 0.1° are merged.

Main lines, low angle first (2θ from 10° to 90°):
| 2theta | intensity | h k l |
| --- | --- | --- |
| 26.84 | 100 | 0 1 3 |
| 35.24 | 25 | 1 1 0 |
| 35.35 | 31 | 1 0 3 |
| 40.33 | 19 | 1 1 3 |
| 52.96 | 18 | 1 2 3 |
| 53.20 | 30 | 1 1 6 |
| 67.66 | 13 | 1 0 9 |
| 68.13 | 12 | 2 1 3 |

Structure:
a = 3.025 Å, b = 4.721 Å, c = 14.019 Å
α = 90.00°, β = 90.00°, γ = 90.00°
Space group Pmn2_1 (No. 31)
One atom of each set of equivalent atoms:
Fe1 0.000 0.143 0.000 (multiplicity 2)
Fe2 0.000 0.282 0.334 (multiplicity 2)
Fe3 0.000 0.286 0.662 (multiplicity 2)
O1 0.000 0.014 0.436 (multiplicity 2)
O2 0.000 0.550 0.231 (multiplicity 2)
O3 0.000 0.899 0.097 (multiplicity 2)
F1 0.000 0.492 0.902 (multiplicity 2)
F2 0.000 0.624 0.562 (multiplicity 2)
F3 0.000 0.929 0.771 (multiplicity 2)

---

Record 7
Starting from a crystal structure in the Materials Project, relaxed with GGA+U, the powder XRD pattern of FeB2O4 was simulated for copper Kα.
Lines closer than 0.1° are merged.

Main lines, low angle first (2θ from 10° to 90°):
| 2theta | intensity | h k l |
| --- | --- | --- |
| 30.26 | 100 | 1 1 -2 |
| 33.28 | 57 | 0 1 3 |
| 34.02 | 89 | 1 1 2 |
| 38.02 | 64 | 1 2 -1 |
| 40.69 | 39 | 2 0 0 |
| 44.66 | 36 | 1 1 -4 |
| 46.22 | 70 | 1 2 -3 |
| 48.96 | 38 | 0 3 1 |

Structure:
a = 4.485 Å, b = 5.700 Å, c = 9.265 Å
α = 90.00°, β = 98.57°, γ = 90.00°
Space group P2/c (No. 13)
One atom of each set of equivalent atoms:
Fe1 0.000 0.087 0.250 (multiplicity 2)
Fe2 0.500 0.412 0.250 (multiplicity 2)
B1 0.059 0.357 0.939 (multiplicity 4)
B2 0.440 0.142 0.561 (multiplicity 4)
O1 0.076 0.403 0.103 (multiplicity 4)
O2 0.147 0.166 0.609 (multiplicity 4)
O3 0.353 0.334 0.892 (multiplicity 4)
O4 0.420 0.097 0.398 (multiplicity 4)

---

Q: Which formula does entry 3 have?
A: Zn2Ni3O5